Entry 1:
Structure and calculated powder diffractogram of Li2Sm3Pt7 (a structure optimized by DFT (PBE); Cu Kα X-rays).
Lines closer than 0.1° are merged.

Most intense lines, 15 to 90 degrees two-theta, low angle first:
21.00 deg, d 4.231, I 42
31.05 deg, d 2.881, I 43
34.00 deg, d 2.637, I 66
38.13 deg, d 2.360, I 93
38.64 deg, d 2.330, I 55
39.20 deg, d 2.298, I 100
42.07 deg, d 2.148, I 61
42.74 deg, d 2.116, I 29
64.72 deg, d 1.440, I 33
68.57 deg, d 1.369, I 41

Structure:
```
Li2Sm3Pt7
1.0
2.7373 1.5804 8.4621
-2.7373 1.5804 8.4621
0.0000 -3.1607 8.4621
Li Sm Pt
2 3 7
Direct
0.1651 0.1651 0.1651
0.8349 0.8349 0.8349
0.3612 0.3612 0.3612
0.5000 0.5000 0.5000
0.6388 0.6388 0.6388
0.0000 0.0000 0.0000
0.0818 0.0818 0.5756
0.0818 0.5756 0.0818
0.4244 0.9182 0.9182
0.5756 0.0818 0.0818
0.9182 0.4244 0.9182
0.9182 0.9182 0.4244
```

Entry 2:
Structure and calculated powder diffractogram of LiSm4Pt (a structure optimized by DFT (PBE); Cu Kα X-rays).
Lines closer than 0.1° are merged.

Most intense lines, 15 to 90 degrees two-theta, low angle first:
19.71 deg, d 4.505, I 31
23.86 deg, d 3.729, I 16
26.84 deg, d 3.322, I 100
31.39 deg, d 2.849, I 37
36.44 deg, d 2.465, I 43
36.55 deg, d 2.459, I 24
40.03 deg, d 2.253, I 18
46.59 deg, d 1.949, I 49
48.90 deg, d 1.862, I 27
55.29 deg, d 1.661, I 17

Structure:
```
LiSm4Pt
1.0
-4.5053 4.5053 4.9173
4.5053 -4.5053 4.9173
4.5053 4.5053 -4.9173
Li Sm Pt
2 8 2
Direct
0.0000 0.0000 0.0000
0.7500 0.2500 0.5000
0.2086 0.5159 0.6927
0.2659 0.0732 0.8073
0.2659 0.4586 0.1927
0.2949 0.9840 0.3109
0.6730 0.9840 0.6891
0.7340 0.5449 0.8109
0.7340 0.9230 0.1891
0.8232 0.5159 0.3073
0.2520 0.7520 0.5000
0.5020 0.5020 0.0000
```

Entry 3:
Structure and calculated powder diffractogram of Li3Sn3Pt (a structure optimized by DFT (PBE); Cu Kα X-rays).
Lines closer than 0.1° are merged.

Most intense lines, 15 to 90 degrees two-theta, low angle first:
23.82 deg, d 3.736, I 100
31.68 deg, d 2.824, I 16
38.08 deg, d 2.363, I 60
41.88 deg, d 2.157, I 50
48.75 deg, d 1.868, I 34
57.87 deg, d 1.593, I 8
60.72 deg, d 1.525, I 25
66.17 deg, d 1.412, I 22
73.97 deg, d 1.281, I 15
81.46 deg, d 1.182, I 17

Structure:
```
Li3Sn3Pt
1.0
8.6299 0.0000 0.0000
-4.3149 7.4737 0.0000
0.0000 0.0000 4.3129
Li Sn Pt
6 6 2
Direct
0.1104 0.5552 0.2500
0.4448 0.5552 0.2500
0.4448 0.8896 0.2500
0.5552 0.1104 0.7500
0.5552 0.4448 0.7500
0.8896 0.4448 0.7500
0.1553 0.3106 0.7500
0.1553 0.8447 0.7500
0.3106 0.1553 0.2500
0.6894 0.8447 0.7500
0.8447 0.1553 0.2500
0.8447 0.6894 0.2500
0.3333 0.6667 0.7500
0.6667 0.3333 0.2500
```

Entry 4:
Structure and calculated powder diffractogram of Li3Sn3Pt2 (a structure optimized by DFT (PBE); Cu Kα X-rays).
Lines closer than 0.1° are merged.

Most intense lines, 15 to 90 degrees two-theta, low angle first:
23.42 deg, d 3.798, I 33
23.60 deg, d 3.770, I 93
38.82 deg, d 2.320, I 94
39.05 deg, d 2.307, I 100
45.84 deg, d 1.980, I 14
46.07 deg, d 1.970, I 50
56.24 deg, d 1.636, I 33
61.99 deg, d 1.497, I 13
70.59 deg, d 1.334, I 34
70.74 deg, d 1.332, I 18

Structure:
```
Li3Sn3Pt2
1.0
2.3067 1.3318 7.5967
-2.3067 1.3318 7.5967
0.0000 -2.6635 7.5967
Li Sn Pt
3 3 2
Direct
0.0000 0.0000 0.0000
0.1201 0.1201 0.1201
0.4963 0.4963 0.4963
0.3786 0.3786 0.3786
0.6189 0.6189 0.6189
0.8611 0.8611 0.8611
0.2465 0.2465 0.2465
0.7396 0.7396 0.7396
```

Entry 5:
Structure and calculated powder diffractogram of Li4SnPt4 (a structure optimized by DFT (PBE); Cu Kα X-rays).
Lines closer than 0.1° are merged.

Most intense lines, 15 to 90 degrees two-theta, low angle first:
15.44 deg, d 5.738, I 37
21.91 deg, d 4.058, I 23
24.30 deg, d 3.662, I 42
32.95 deg, d 2.719, I 28
34.96 deg, d 2.566, I 17
39.92 deg, d 2.259, I 100
44.14 deg, d 2.052, I 19
47.54 deg, d 1.913, I 31
66.87 deg, d 1.399, I 22
83.27 deg, d 1.160, I 25

Structure:
```
Li4SnPt4
1.0
-4.0575 4.0575 2.0519
4.0575 -4.0575 2.0519
4.0575 4.0575 -2.0519
Li Sn Pt
4 1 4
Direct
0.1788 0.1788 0.3576
0.1788 0.8212 0.0000
0.8212 0.1788 0.0000
0.8212 0.8212 0.6424
0.5000 0.5000 0.0000
0.1697 0.5000 0.6697
0.5000 0.1697 0.6697
0.5000 0.8303 0.3303
0.8303 0.5000 0.3303
```

Entry 6:
Structure and calculated powder diffractogram of Li2SnPt2 (a structure optimized by DFT (PBE); Cu Kα X-rays).
Lines closer than 0.1° are merged.

Most intense lines, 15 to 90 degrees two-theta, low angle first:
20.49 deg, d 4.334, I 100
22.35 deg, d 3.978, I 84
27.67 deg, d 3.224, I 63
36.61 deg, d 2.454, I 38
38.49 deg, d 2.339, I 35
38.74 deg, d 2.324, I 77
40.33 deg, d 2.236, I 60
40.80 deg, d 2.211, I 90
42.73 deg, d 2.116, I 48
43.36 deg, d 2.087, I 45

Structure:
```
Li2SnPt2
1.0
4.7188 0.0000 0.0000
-1.7376 4.8399 0.0000
-0.6131 -2.8492 6.8667
Li Sn Pt
4 2 4
Direct
0.0827 0.2992 0.0463
0.1140 0.0970 0.3501
0.8860 0.9030 0.6499
0.9173 0.7008 0.9537
0.3251 0.5191 0.7467
0.6749 0.4809 0.2533
0.2686 0.6957 0.4409
0.4923 0.8733 0.1412
0.5077 0.1267 0.8588
0.7314 0.3043 0.5591
```

Entry 7:
Structure and calculated powder diffractogram of Li3Sn2Pt3 (a structure optimized by DFT (PBE); Cu Kα X-rays).
Lines closer than 0.1° are merged.

Most intense lines, 15 to 90 degrees two-theta, low angle first:
23.26 deg, d 3.825, I 11
24.29 deg, d 3.665, I 31
28.12 deg, d 3.174, I 20
30.69 deg, d 2.913, I 6
40.18 deg, d 2.244, I 100
47.51 deg, d 1.914, I 16
58.13 deg, d 1.587, I 17
72.90 deg, d 1.298, I 9
73.07 deg, d 1.295, I 27
86.89 deg, d 1.121, I 6

Structure:
```
Li3Sn2Pt3
1.0
2.2422 1.2946 7.3423
-2.2422 1.2946 7.3423
0.0000 -2.5891 7.3423
Li Sn Pt
3 2 3
Direct
0.0000 0.0000 0.0000
0.1269 0.1269 0.1269
0.5012 0.5012 0.5012
0.2528 0.2528 0.2528
0.7506 0.7506 0.7506
0.3779 0.3779 0.3779
0.6256 0.6256 0.6256
0.8742 0.8742 0.8742
```

Entry 8:
Structure and calculated powder diffractogram of Sr6Li2Pt (a structure optimized by DFT (PBE); Cu Kα X-rays).
Lines closer than 0.1° are merged.

Most intense lines, 15 to 90 degrees two-theta, low angle first:
15.35 deg, d 5.774, I 100
15.51 deg, d 5.713, I 68
24.50 deg, d 3.633, I 69
25.47 deg, d 3.498, I 89
26.19 deg, d 3.403, I 85
26.65 deg, d 3.345, I 73
28.06 deg, d 3.180, I 62
32.50 deg, d 2.755, I 66
34.83 deg, d 2.576, I 50
40.21 deg, d 2.243, I 53

Structure:
```
Sr6Li2Pt
1.0
7.6076 0.0000 0.0000
0.0000 8.8662 0.0000
-7.5791 0.0000 11.4252
Sr Li Pt
12 4 2
Direct
0.1191 0.1734 0.4488
0.1191 0.3266 0.9488
0.2907 0.6962 0.4469
0.2907 0.8038 0.9469
0.3674 0.0254 0.2506
0.3674 0.4746 0.7506
0.6326 0.5254 0.2494
0.6326 0.9746 0.7494
0.7093 0.1962 0.0531
0.7093 0.3038 0.5531
0.8809 0.6734 0.0512
0.8809 0.8266 0.5512
0.1916 0.1075 0.7559
0.1916 0.3925 0.2559
0.8084 0.6075 0.7441
0.8084 0.8925 0.2441
0.5000 0.0000 0.5000
0.5000 0.5000 0.0000
```